Theoretical XRD peak list of Ta3AlFe8 for Cu Ka, from a cell relaxed with PBE.

Largest 12 diffraction maxima, by intensity, 2θ = 10–90°:
- 2θ 40.98, rel. 100.0
- 2θ 44.76, rel. 89.0
- 2θ 45.79, rel. 59.4
- 2θ 38.05, rel. 59.1
- 2θ 70.74, rel. 37.3
- 2θ 24.52, rel. 31.1
- 2θ 76.54, rel. 28.7
- 2θ 31.60, rel. 25.8
- 2θ 21.70, rel. 22.2
- 2θ 11.29, rel. 20.6
- 2θ 81.38, rel. 20.4
- 2θ 73.44, rel. 19.7

Structure:
```
12
Lattice="4.7299 0.0000 0.0000 -2.3649 4.0962 0.0000 0.0000 0.0000 7.8365" Properties=species:S:1:pos:R:3 pbc="T T T"
Ta 0.0000 0.0000 0.0000
Ta 0.0000 0.0000 2.9097
Ta 0.0000 2.7308 6.7299
Al 0.0000 2.7308 3.8724
Fe -1.1561 2.0633 1.4383
Fe 1.1580 0.6686 5.3389
Fe 1.1561 2.0633 1.4383
Fe 0.0000 4.0657 1.4383
Fe 2.3649 1.3654 3.4088
Fe 2.3649 1.3654 7.3502
Fe 3.5719 0.6686 5.3389
Fe 2.3649 2.7591 5.3389
```

---

Theoretical XRD peak list of TbAl8Fe4 for Cu Ka, from a cell relaxed with PBE.

Largest 12 diffraction maxima, by intensity, 2θ = 10–90°:
- 2θ 41.49, rel. 100.0
- 2θ 29.01, rel. 42.9
- 2θ 60.12, rel. 26.0
- 2θ 35.73, rel. 20.8
- 2θ 20.41, rel. 20.4
- 2θ 75.68, rel. 20.3
- 2θ 14.38, rel. 20.2
- 2θ 68.12, rel. 16.7
- 2θ 32.52, rel. 11.6
- 2θ 46.66, rel. 11.2
- 2θ 55.88, rel. 7.4
- 2θ 49.09, rel. 7.3

Structure:
```
13
Lattice="-4.3539 4.3539 2.5121 4.3539 -4.3539 2.5121 4.3539 4.3539 -2.5121" Properties=species:S:1:pos:R:3 pbc="T T T"
Tb 0.0000 0.0000 0.0000
Al 2.9658 0.0000 0.0000
Al 5.7421 0.0000 0.0000
Al 4.3539 2.4279 0.0000
Al 0.0000 2.9658 0.0000
Al 2.4279 4.3539 0.0000
Al 1.9260 0.0000 2.5121
Al 0.0000 5.7421 0.0000
Al 0.0000 1.9260 2.5121
Fe 2.1770 2.1770 -1.2560
Fe 2.1770 -2.1770 1.2560
Fe -2.1770 2.1770 1.2560
Fe 2.1770 2.1770 1.2560
```

---

Theoretical XRD peak list of Tb3Al4Fe2 for Cu Ka, from a cell relaxed with PBE.

Largest 12 diffraction maxima, by intensity, 2θ = 10–90°:
- 2θ 33.06, rel. 100.0
- 2θ 32.68, rel. 95.4
- 2θ 38.75, rel. 86.4
- 2θ 19.86, rel. 70.9
- 2θ 38.63, rel. 68.9
- 2θ 32.51, rel. 54.7
- 2θ 20.19, rel. 53.1
- 2θ 39.09, rel. 44.2
- 2θ 38.49, rel. 41.4
- 2θ 62.23, rel. 27.6
- 2θ 38.95, rel. 25.4
- 2θ 58.45, rel. 24.0

Structure:
```
18
Lattice="5.4155 0.0000 0.0000 2.6433 4.7330 0.0000 0.1856 -0.0126 13.4332" Properties=species:S:1:pos:R:3 pbc="T T T"
Tb 1.4016 2.3529 1.6277
Tb 4.0936 3.9248 7.2808
Tb 4.1738 3.9250 10.6704
Tb 4.0707 0.7955 2.7628
Tb 4.1509 0.7956 6.1524
Tb 6.8429 2.3675 11.8055
Al 0.0000 0.0000 0.0000
Al 1.4145 2.3602 6.7166
Al 1.4070 0.7743 4.4521
Al 2.8072 1.5666 8.9737
Al 4.0592 3.8827 2.1653
Al 4.1852 0.8377 11.2679
Al 5.4373 3.1538 4.4595
Al 6.8375 3.9461 8.9811
Fe 2.7250 3.1528 4.4721
Fe 2.7077 0.0000 0.0000
Fe 4.0294 2.3665 0.0000
Fe 5.5194 1.5676 8.9611
```

---

Theoretical XRD peak list of TbAlFe for Cu Ka, from a cell relaxed with PBE.

Largest 12 diffraction maxima, by intensity, 2θ = 10–90°:
- 2θ 39.26, rel. 100.0
- 2θ 36.74, rel. 80.8
- 2θ 32.96, rel. 59.1
- 2θ 61.34, rel. 25.8
- 2θ 20.68, rel. 24.7
- 2θ 33.06, rel. 24.2
- 2θ 67.51, rel. 23.1
- 2θ 39.78, rel. 22.2
- 2θ 21.55, rel. 19.0
- 2θ 18.87, rel. 17.2
- 2θ 57.06, rel. 16.7
- 2θ 63.20, rel. 15.1

Structure:
```
12
Lattice="8.5920 0.0000 0.0000 0.0000 2.7098 4.7122 0.0000 -2.7098 4.7122" Properties=species:S:1:pos:R:3 pbc="T T T"
Tb 1.5949 0.0000 0.0000
Tb 2.5867 0.0000 6.3158
Tb 6.0053 0.0000 6.3158
Tb 6.9970 0.0000 0.0000
Al 0.0000 0.0000 4.6739
Al 4.2960 0.0000 1.5992
Al 4.2960 -1.3221 3.9081
Al 4.2960 1.3221 3.9081
Fe 0.0000 -1.3276 2.4012
Fe 0.0000 1.3276 2.4012
Fe 2.0432 0.0000 3.0790
Fe 6.5488 0.0000 3.0790
```

---

Theoretical XRD peak list of TbAl6Fe6 for Cu Ka, from a cell relaxed with PBE.

Largest 12 diffraction maxima, by intensity, 2θ = 10–90°:
- 2θ 41.82, rel. 100.0
- 2θ 41.97, rel. 93.1
- 2θ 29.45, rel. 77.1
- 2θ 14.61, rel. 50.8
- 2θ 61.11, rel. 41.4
- 2θ 42.45, rel. 41.2
- 2θ 42.17, rel. 32.0
- 2θ 47.15, rel. 28.5
- 2θ 29.29, rel. 27.6
- 2θ 20.61, rel. 26.3
- 2θ 36.00, rel. 22.2
- 2θ 77.33, rel. 21.7

Structure:
```
13
Lattice="-2.4974 4.2593 4.3152 2.4974 -4.2593 4.3152 2.4974 4.2593 -4.3152" Properties=species:S:1:pos:R:3 pbc="T T T"
Tb 0.0000 0.0000 0.0000
Al 2.4974 0.0000 1.6723
Al 0.0000 2.8691 0.0000
Al 0.0000 0.0000 2.9871
Al 0.0000 0.0000 5.6433
Al 0.0000 5.6495 0.0000
Al 0.0000 4.2593 2.6429
Fe 1.2487 2.1297 -2.1576
Fe 1.2487 -2.1297 2.1576
Fe 2.4974 2.0477 0.0000
Fe -1.2487 2.1297 2.1576
Fe 1.2487 2.1297 2.1576
Fe 0.0000 2.2116 4.3152
```

---

Theoretical XRD peak list of TbAl7Fe5 for Cu Ka, from a cell relaxed with PBE.

Largest 12 diffraction maxima, by intensity, 2θ = 10–90°:
- 2θ 41.62, rel. 100.0
- 2θ 29.14, rel. 58.0
- 2θ 14.47, rel. 30.3
- 2θ 41.73, rel. 20.9
- 2θ 41.83, rel. 20.7
- 2θ 60.46, rel. 20.1
- 2θ 20.46, rel. 19.0
- 2θ 46.82, rel. 16.8
- 2θ 68.35, rel. 16.2
- 2θ 60.31, rel. 14.4
- 2θ 35.81, rel. 13.3
- 2θ 35.96, rel. 12.4

Structure:
```
13
Lattice="-2.5090 4.3409 4.3188 2.5090 -4.3409 4.3188 2.5090 4.3409 -4.3188" Properties=species:S:1:pos:R:3 pbc="T T T"
Tb 0.0000 0.0000 0.0000
Al 2.5090 1.8344 0.0050
Al 2.5090 0.0000 1.9975
Al 0.0000 0.0000 2.9836
Al 0.0000 2.9748 0.1156
Al 0.0000 0.0000 5.7451
Al 0.0000 5.7070 0.1156
Al 0.0000 2.5065 4.3238
Fe 1.2441 2.1729 -2.1061
Fe 1.2648 -2.1680 2.2127
Fe 1.2441 6.5089 -2.1061
Fe 1.2648 2.1680 2.2127
Fe 0.0000 4.3409 2.3248
```